Record 1
The following is a calculated powder XRD pattern of Sb2W8C3N3. It was derived from a DFT-relaxed cell (GGA-PBE, OQMD), using CuKα.
Neutral-atom scattering factors, no anomalous dispersion.

Largest 6 diffraction maxima, sorted by position, 10° ≤ 2θ ≤ 90°:
2θ 36.0, I = 876
2θ 37.9, I = 985
2θ 39.3, I = 528
2θ 40.2, I = 1000
2θ 57.6, I = 645
2θ 72.0, I = 551

Structural model:
```
Sb2W8C3N3
1.0
3.1986 0.0000 0.0000
-1.5993 2.7701 0.0000
0.0000 0.0000 22.9530
Sb W C N
2 8 3 3
Direct
0.3333 0.6667 0.2539
0.6667 0.3333 0.7461
0.0000 0.0000 0.1523
0.0000 0.0000 0.3473
0.0000 0.0000 0.6527
0.0000 0.0000 0.8477
0.3333 0.6667 0.0565
0.3333 0.6667 0.4537
0.6667 0.3333 0.5463
0.6667 0.3333 0.9435
0.0000 0.0000 0.0000
0.3333 0.6667 0.8896
0.6667 0.3333 0.1104
0.0000 0.0000 0.5000
0.3333 0.6667 0.6016
0.6667 0.3333 0.3984
```

Record 2
The following is a calculated powder XRD pattern of Gd3In3NiPd2. It was derived from a DFT-relaxed cell (GGA-PBE, OQMD), using CuKα.
Neutral-atom scattering factors, no anomalous dispersion.

Largest 6 diffraction maxima, sorted by position, 10° ≤ 2θ ≤ 90°:
2θ 32.8, I = 1000
2θ 35.6, I = 751
2θ 36.0, I = 550
2θ 41.0, I = 268
2θ 60.1, I = 243
2θ 66.2, I = 247

Structural model:
```
Gd3In3NiPd2
1.0
7.6244 0.0000 0.0000
-3.8122 6.6029 0.0000
0.0000 0.0000 3.9105
Gd In Ni Pd
3 3 1 2
Direct
0.0000 0.5921 0.0000
0.4079 0.4079 0.0000
0.5921 0.0000 0.0000
0.0000 0.2460 0.5000
0.2460 0.0000 0.5000
0.7540 0.7540 0.5000
0.0000 0.0000 0.0000
0.3333 0.6667 0.5000
0.6667 0.3333 0.5000
```

Record 3
The following is a calculated powder XRD pattern of LiScAlPt. It was derived from a DFT-relaxed cell (GGA-PBE, OQMD), using CuKα.
Neutral-atom scattering factors, no anomalous dispersion.

Largest 6 diffraction maxima, sorted by position, 10° ≤ 2θ ≤ 90°:
2θ 24.3, I = 1000
2θ 28.2, I = 226
2θ 40.3, I = 831
2θ 47.6, I = 508
2θ 64.1, I = 211
2θ 73.2, I = 282

Structural model:
```
LiScAlPt
1.0
4.4795 0.0000 0.0000
0.0000 4.4795 0.0000
0.0000 0.0000 6.3361
Li Sc Al Pt
2 2 2 2
Direct
0.0000 0.0000 0.0000
0.5000 0.5000 0.5000
0.0000 0.5000 0.2505
0.5000 0.0000 0.7495
0.0000 0.5000 0.7494
0.5000 0.0000 0.2506
0.0000 0.0000 0.5000
0.5000 0.5000 0.0000
```

Record 4
The following is a calculated powder XRD pattern of NaPr2S2O8F3. It was derived from a DFT-relaxed cell (GGA-PBE, OQMD), using CuKα.
Neutral-atom scattering factors, no anomalous dispersion.

Largest 6 diffraction maxima, sorted by position, 10° ≤ 2θ ≤ 90°:
2θ 14.4, I = 929
2θ 16.9, I = 478
2θ 25.5, I = 500
2θ 26.5, I = 739
2θ 29.2, I = 1000
2θ 30.6, I = 806

Structural model:
```
NaPr2S2O8F3
1.0
7.7468 -3.4345 0.0000
7.7468 3.4345 0.0000
-3.5308 0.0000 7.3517
Na Pr S O F
2 4 4 16 6
Direct
0.1233 0.8767 0.7500
0.8767 0.1233 0.2500
0.2881 0.4722 0.0375
0.4722 0.2881 0.5375
0.5278 0.7119 0.4625
0.7119 0.5278 0.9625
0.0928 0.2629 0.6609
0.2629 0.0928 0.1609
0.7371 0.9072 0.8391
0.9072 0.7371 0.3391
0.0262 0.2090 0.1129
0.0433 0.3451 0.8466
0.1067 0.6332 0.4772
0.2090 0.0262 0.6129
0.2297 0.3219 0.6792
0.3219 0.2297 0.1792
0.3451 0.0433 0.3466
0.3668 0.8933 0.0228
0.6332 0.1067 0.9772
0.6549 0.9567 0.6534
0.6781 0.7703 0.8208
0.7703 0.6781 0.3208
0.7910 0.9738 0.3871
0.8933 0.3668 0.5228
0.9567 0.6549 0.1534
0.9738 0.7910 0.8871
0.2086 0.7914 0.2500
0.3969 0.5150 0.8402
0.4850 0.6031 0.6598
0.5150 0.3969 0.3402
0.6031 0.4850 0.1598
0.7914 0.2086 0.7500
```

Record 5
The following is a calculated powder XRD pattern of YHfAl2Pd4. It was derived from a DFT-relaxed cell (GGA-PBE, OQMD), using CuKα.
Neutral-atom scattering factors, no anomalous dispersion.

Largest 6 diffraction maxima, sorted by position, 10° ≤ 2θ ≤ 90°:
2θ 23.7, I = 463
2θ 38.7, I = 1000
2θ 41.8, I = 635
2θ 58.2, I = 299
2θ 74.2, I = 288
2θ 78.0, I = 130

Structural model:
```
YHfAl2Pd4
1.0
4.3261 0.0000 0.0000
-2.1631 3.7465 0.0000
0.0000 0.0000 8.9128
Y Hf Al Pd
1 1 2 4
Direct
0.0000 0.0000 0.0000
0.3333 0.6667 0.5000
0.6667 0.3333 0.2617
0.6667 0.3333 0.7383
0.0000 0.0000 0.3438
0.0000 0.0000 0.6562
0.3333 0.6667 0.1793
0.3333 0.6667 0.8207
```

Record 6
The following is a calculated powder XRD pattern of Gd2TmAl3CuSi2. It was derived from a DFT-relaxed cell (GGA-PBE, OQMD), using CuKα.
Neutral-atom scattering factors, no anomalous dispersion.

Largest 6 diffraction maxima, sorted by position, 10° ≤ 2θ ≤ 90°:
2θ 21.2, I = 504
2θ 25.7, I = 495
2θ 29.8, I = 355
2θ 33.6, I = 1000
2θ 36.9, I = 760
2θ 59.8, I = 236

Structural model:
```
Gd2TmAl3CuSi2
1.0
4.1843 0.0000 0.0000
0.0000 5.9857 3.4696
0.0000 -5.9857 3.4696
Gd Tm Al Cu Si
2 1 3 1 2
Direct
0.0000 0.2030 0.7970
0.0000 0.7970 0.2030
0.0000 0.6100 0.6100
0.5000 0.2053 0.4418
0.5000 0.4418 0.2053
0.5000 0.9664 0.9664
0.0000 0.2099 0.2099
0.5000 0.5386 0.8665
0.5000 0.8665 0.5386
```

Record 7
The following is a calculated powder XRD pattern of Ho2ReB6. It was derived from a DFT-relaxed cell (GGA-PBE, OQMD), using CuKα.
Neutral-atom scattering factors, no anomalous dispersion.

Largest 6 diffraction maxima, sorted by position, 10° ≤ 2θ ≤ 90°:
2θ 24.3, I = 1000
2θ 30.4, I = 628
2θ 32.6, I = 301
2θ 39.3, I = 758
2θ 41.1, I = 376
2θ 41.6, I = 304

Structural model:
```
Ho2ReB6
1.0
9.1431 0.0000 0.0000
0.0000 11.5122 0.0000
0.0000 0.0000 3.6630
Ho Re B
8 4 24
Direct
0.0571 0.1301 0.0000
0.1768 0.4140 0.0000
0.3232 0.9140 0.0000
0.4429 0.6301 0.0000
0.5571 0.3699 0.0000
0.6768 0.0860 0.0000
0.8232 0.5860 0.0000
0.9429 0.8699 0.0000
0.1384 0.6792 0.0000
0.3616 0.1792 0.0000
0.6384 0.8208 0.0000
0.8616 0.3208 0.0000
0.0178 0.2882 0.5000
0.0532 0.5669 0.5000
0.0999 0.9721 0.5000
0.1309 0.8147 0.5000
0.2078 0.2349 0.5000
0.2494 0.5812 0.5000
0.2506 0.0812 0.5000
0.2922 0.7349 0.5000
0.3691 0.3147 0.5000
0.4001 0.4721 0.5000
0.4468 0.0669 0.5000
0.4822 0.7882 0.5000
0.5178 0.2118 0.5000
0.5532 0.9331 0.5000
0.5999 0.5279 0.5000
0.6309 0.6853 0.5000
0.7078 0.2651 0.5000
0.7494 0.9188 0.5000
0.7506 0.4188 0.5000
0.7922 0.7651 0.5000
0.8691 0.1853 0.5000
0.9001 0.0279 0.5000
0.9468 0.4331 0.5000
0.9822 0.7118 0.5000
```